Record 1
Diffraction record for KTl4Bi. The XRD peak list is simulated, not measured: it uses a crystal structure in Alexandria, relaxed with GGA-PBE and copper Kα.
Peak positions follow from Bragg's law for the DFT cell and can differ from measured ones.

Structural model:
a b c (Å): 10.5770 4.5471 8.8657
angles (deg): 90.00 90.00 90.00
Space group Pmma (No. 51)
Asymmetric unit:
K 0.2500 0.0000 0.1499 x2
Tl 0.0000 0.0000 0.5000 x2
Tl 0.0310 0.5000 0.8050 x4
Tl 0.2500 0.5000 0.4759 x2
Bi 0.2500 0.0000 0.7535 x2

Largest 10 diffraction maxima, by angle, 15° ≤ 2θ ≤ 90°:
index, d (Å), Rel. int.
2 1 1, 3.213, 59
0 0 3, 2.955, 23
2 1 2, 2.722, 100
3 1 1, 2.658, 20
4 0 0, 2.644, 25
0 2 0, 2.274, 21
4 2 0, 1.724, 14
2 1 5, 1.577, 13
6 1 2, 1.541, 12
2 3 2, 1.384, 13


Record 2
Diffraction record for Li4Cu11. The XRD peak list is simulated, not measured: it uses a crystal structure in Alexandria, relaxed with GGA-PBE and copper Kα.
Peak positions follow from Bragg's law for the DFT cell and can differ from measured ones.

Structural model:
a b c (Å): 8.9540 8.9540 4.7301
angles (deg): 90.00 90.00 90.00
Space group P4_2/mnm (No. 136)
Asymmetric unit:
Li 0.0432 0.3604 0.0000 x8
Cu 0.0000 0.0000 0.5000 x2
Cu 0.0708 0.2614 0.5000 x8
Cu 0.0958 0.0958 0.0000 x4
Cu 0.1796 0.8204 0.2496 x8

Largest 10 diffraction maxima, by angle, 15° ≤ 2θ ≤ 90°:
index, d (Å), Rel. int.
2 1 1, 3.056, 21
2 2 1, 2.631, 16
4 1 0, 2.172, 95
3 3 0, 2.110, 28
2 0 2, 2.091, 26
2 1 2, 2.036, 100
4 1 1, 1.974, 56
3 3 1, 1.927, 50
3 1 2, 1.815, 18
6 0 2, 1.262, 31


Please write out number 2 again, unchanged.
Diffraction record for Li4Cu11. The XRD peak list is simulated, not measured: it uses a crystal structure in Alexandria, relaxed with GGA-PBE and copper Kα.
Peak positions follow from Bragg's law for the DFT cell and can differ from measured ones.

Structural model:
a b c (Å): 8.9540 8.9540 4.7301
angles (deg): 90.00 90.00 90.00
Space group P4_2/mnm (No. 136)
Asymmetric unit:
Li 0.0432 0.3604 0.0000 x8
Cu 0.0000 0.0000 0.5000 x2
Cu 0.0708 0.2614 0.5000 x8
Cu 0.0958 0.0958 0.0000 x4
Cu 0.1796 0.8204 0.2496 x8

Largest 10 diffraction maxima, by angle, 15° ≤ 2θ ≤ 90°:
index, d (Å), Rel. int.
2 1 1, 3.056, 21
2 2 1, 2.631, 16
4 1 0, 2.172, 95
3 3 0, 2.110, 28
2 0 2, 2.091, 26
2 1 2, 2.036, 100
4 1 1, 1.974, 56
3 3 1, 1.927, 50
3 1 2, 1.815, 18
6 0 2, 1.262, 31